(1)
MgHAu2F11: theoretical XRD peak list (λ = 1.5418 Å (Cu Kα)), based on a PBE-relaxed structure.
Lines closer than 0.1° are merged.

Structural model:
Cell: 5.4590 16.0189 10.5509 Å, 90.00 90.56 90.00°
Space group P2_1/c (No. 14)
Asymmetric unit:
Mg: 0.0470 0.2337 0.1147 x4
H: 0.0089 0.5911 0.9212 x4
Au: 0.2876 0.0259 0.2453 x4
Au: 0.4542 0.7210 0.6359 x4
F: 0.0087 0.1493 0.5463 x4
F: 0.0397 0.5059 0.8734 x4
F: 0.0676 0.1153 0.1796 x4
F: 0.1428 0.5550 0.6291 x4
F: 0.1494 0.7378 0.7303 x4
F: 0.2428 0.2035 0.9596 x4
F: 0.2645 0.7064 0.4786 x4
F: 0.3551 0.2325 0.7056 x4
F: 0.4356 0.1065 0.3621 x4
F: 0.4715 0.5562 0.3788 x4
F: 0.4962 0.5615 0.8083 x4

Peak list (8 most intense, 2θ from 15° to 90°, by angle)
d = 5.275 Å, 2θ = 16.81°, intensity 59, (0 0 2)
d = 4.657 Å, 2θ = 19.06°, intensity 56, (1 1 -1)
d = 4.624 Å, 2θ = 19.20°, intensity 100, (1 1 1)
d = 4.406 Å, 2θ = 20.16°, intensity 46, (0 2 2)
d = 4.005 Å, 2θ = 22.20°, intensity 72, (0 4 0)
d = 3.747 Å, 2θ = 23.75°, intensity 72, (0 4 1)
d = 3.708 Å, 2θ = 24.00°, intensity 54, (1 1 -2)
d = 3.082 Å, 2θ = 28.97°, intensity 57, (1 3 2)

(2)
Rb2HgAuF6: theoretical XRD peak list (λ = 1.5418 Å (Cu Kα)), based on a PBE-relaxed structure.
Lines closer than 0.1° are merged.

Structural model:
Cell: 9.1580 9.1580 9.1580 Å, 90.00 90.00 90.00°
Space group Fm-3m (No. 225)
Asymmetric unit:
Rb: 0.2500 0.2500 0.2500 x8
Hg: 0.0000 0.0000 0.0000 x4
Au: 0.0000 0.0000 0.5000 x4
F: 0.0000 0.0000 0.2527 x24

Peak list (8 most intense, 2θ from 15° to 90°, by angle)
d = 4.579 Å, 2θ = 19.38°, intensity 28, (2 0 0)
d = 3.238 Å, 2θ = 27.55°, intensity 100, (2 2 0)
d = 2.289 Å, 2θ = 39.35°, intensity 33, (4 0 0)
d = 2.048 Å, 2θ = 44.23°, intensity 14, (4 2 0)
d = 1.869 Å, 2θ = 48.71°, intensity 43, (4 2 2)
d = 1.619 Å, 2θ = 56.87°, intensity 21, (4 4 0)
d = 1.448 Å, 2θ = 64.34°, intensity 19, (6 2 0)
d = 1.224 Å, 2θ = 78.09°, intensity 23, (6 4 2)